1.
Simulated X-ray powder pattern of GdHoNi2 for Cu Kα X-rays, from a crystal structure in OQMD, relaxed with GGA-PBE.
No peak broadening, texture or thermal motion is included.

Atomic structure:
```
data_GdHoNi2
_chemical_formula_sum 'Gd2 Ho2 Ni4'
_cell_length_a 4.184
_cell_length_b 5.424
_cell_length_c 7.056
_cell_angle_alpha 90.00
_cell_angle_beta 90.00
_cell_angle_gamma 90.00
_space_group_name_H-M_alt 'P 1'
_space_group_IT_number 1
loop_
_space_group_symop_operation_xyz
'x,y,z'
loop_
_atom_site_label
_atom_site_type_symbol
_atom_site_fract_x
_atom_site_fract_y
_atom_site_fract_z
Gd1 Gd 0.000 0.120 0.000
Gd2 Gd 0.000 0.880 0.500
Ho1 Ho 0.500 0.380 0.641
Ho2 Ho 0.500 0.620 0.141
Ni1 Ni 0.000 0.375 0.358
Ni2 Ni 0.000 0.625 0.858
Ni3 Ni 0.500 0.125 0.282
Ni4 Ni 0.500 0.875 0.782
```

Main lines, sorted by position (10 to 80 degrees two-theta):
2θ/deg  I/Imax  h k l
29.79  86  1 1 1
33.22  100  1 0 2
35.46  90  0 2 1
37.23  82  1 1 2
41.70  78  1 2 1
43.25  52  2 0 0


2.
Simulated X-ray powder pattern of CoW14 for Cu Kα X-rays, from a crystal structure in OQMD, relaxed with GGA-PBE.
No peak broadening, texture or thermal motion is included.

Atomic structure:
```
data_CoW14
_chemical_formula_sum 'Co2 W28'
_cell_length_a 9.713
_cell_length_b 9.713
_cell_length_c 5.085
_cell_angle_alpha 90.00
_cell_angle_beta 90.00
_cell_angle_gamma 90.00
_space_group_name_H-M_alt 'P 1'
_space_group_IT_number 1
loop_
_space_group_symop_operation_xyz
'x,y,z'
loop_
_atom_site_label
_atom_site_type_symbol
_atom_site_fract_x
_atom_site_fract_y
_atom_site_fract_z
Co1 Co 0.000 0.000 0.000
Co2 Co 0.500 0.500 0.500
W1 W 0.036 0.371 0.500
W2 W 0.063 0.254 0.000
W3 W 0.103 0.103 0.500
W4 W 0.129 0.536 0.000
W5 W 0.183 0.817 0.251
W6 W 0.183 0.817 0.749
W7 W 0.246 0.563 0.500
W8 W 0.254 0.063 0.000
W9 W 0.317 0.317 0.249
W10 W 0.317 0.317 0.751
W11 W 0.371 0.036 0.500
W12 W 0.397 0.603 0.000
W13 W 0.437 0.754 0.500
W14 W 0.464 0.871 0.000
W15 W 0.536 0.129 0.000
W16 W 0.563 0.246 0.500
W17 W 0.603 0.397 0.000
W18 W 0.629 0.964 0.500
W19 W 0.683 0.683 0.249
W20 W 0.683 0.683 0.751
W21 W 0.746 0.937 0.000
W22 W 0.754 0.437 0.500
W23 W 0.817 0.183 0.251
W24 W 0.817 0.183 0.749
W25 W 0.871 0.464 0.000
W26 W 0.897 0.897 0.500
W27 W 0.937 0.746 0.000
W28 W 0.964 0.629 0.500
```

Main lines, sorted by position (10 to 80 degrees two-theta):
2θ/deg  I/Imax  h k l
38.20  94  4 1 0
39.36  34  3 3 0
40.03  32  2 0 2
41.14  81  2 1 2
42.28  100  4 1 1
43.34  59  3 3 1


3.
Simulated X-ray powder pattern of TmLuFe2Cl2 for Cu Kα X-rays, from a crystal structure in OQMD, relaxed with GGA-PBE.
No peak broadening, texture or thermal motion is included.

Atomic structure:
```
data_TmLuFe2Cl2
_chemical_formula_sum 'Tm1 Lu1 Fe2 Cl2'
_cell_length_a 3.749
_cell_length_b 3.749
_cell_length_c 10.922
_cell_angle_alpha 90.00
_cell_angle_beta 90.00
_cell_angle_gamma 120.00
_space_group_name_H-M_alt 'P 1'
_space_group_IT_number 1
loop_
_space_group_symop_operation_xyz
'x,y,z'
loop_
_atom_site_label
_atom_site_type_symbol
_atom_site_fract_x
_atom_site_fract_y
_atom_site_fract_z
Tm1 Tm 0.000 0.000 0.000
Lu1 Lu 0.000 0.000 0.360
Fe1 Fe 0.333 0.667 0.190
Fe2 Fe 0.667 0.333 0.171
Cl1 Cl 0.333 0.667 0.843
Cl2 Cl 0.667 0.333 0.517
```

Main lines, sorted by position (10 to 80 degrees two-theta):
2θ/deg  I/Imax  h k l
27.47  36  1 0 0
32.07  59  1 0 2
37.10  100  1 0 3
48.57  35  1 1 0
62.66  21  0 2 3
72.36  17  1 1 6